Entry 1:
Diffraction record for GdCoO3. The PXRD pattern is calculated, not measured: it uses a DFT-relaxed cell (GGA+U, OQMD) and Cu Kα (λ = 1.5418 Å).

Crystal structure
```
GdCoO3
1.0
3.7220 0.0000 0.0000
0.0000 3.7220 0.0000
0.0000 0.0000 3.7963
Gd Co O
1 1 3
Direct
0.0000 0.0000 0.0000
0.5000 0.5000 0.5000
0.0000 0.5000 0.5000
0.5000 0.0000 0.5000
0.5000 0.5000 0.0000
```

Peak list (10 most intense, 2θ = 10–80°, in order of rising 2θ)
23.9 deg, I = 16, hkl 1 0 0; 33.7 deg, I = 100, hkl 1 0 1; 34.1 deg, I = 49, hkl 1 1 0; 41.8 deg, I = 27, hkl 1 1 1; 47.9 deg, I = 16, hkl 0 0 2; 48.9 deg, I = 29, hkl 2 0 0; 60.1 deg, I = 19, hkl 1 1 2; 60.8 deg, I = 37, hkl 2 1 1; 70.9 deg, I = 18, hkl 2 0 2; 71.7 deg, I = 9, hkl 2 2 0

***

Entry 2:
Diffraction record for SrGd2Co2O7. The PXRD pattern is calculated, not measured: it uses a DFT-relaxed cell (GGA+U, OQMD) and Cu Kα (λ = 1.5418 Å).

Crystal structure
```
SrGd2Co2O7
1.0
5.3851 0.0000 0.0000
0.0000 5.3851 0.0000
0.0000 0.0000 19.4389
Sr Gd Co O
4 8 8 28
Direct
0.2462 0.2462 0.0000
0.2538 0.7462 0.5000
0.7462 0.2538 0.5000
0.7538 0.7538 0.0000
0.2309 0.2309 0.1811
0.2309 0.2309 0.8189
0.2691 0.7309 0.3189
0.2691 0.7309 0.6811
0.7309 0.2691 0.3189
0.7309 0.2691 0.6811
0.7691 0.7691 0.1811
0.7691 0.7691 0.8189
0.2472 0.2472 0.3998
0.2472 0.2472 0.6002
0.2528 0.7472 0.1002
0.2528 0.7472 0.8998
0.7472 0.2528 0.1002
0.7472 0.2528 0.8998
0.7528 0.7528 0.3998
0.7528 0.7528 0.6002
0.0000 0.0000 0.0930
0.0000 0.0000 0.3788
0.0000 0.0000 0.6212
0.0000 0.0000 0.9070
0.0000 0.5000 0.1071
0.0000 0.5000 0.3929
0.0000 0.5000 0.6071
0.0000 0.5000 0.8929
0.2050 0.7950 0.2073
0.2050 0.7950 0.7927
0.2217 0.2217 0.5000
0.2783 0.7217 0.0000
0.2950 0.2950 0.2927
0.2950 0.2950 0.7073
0.5000 0.0000 0.1071
0.5000 0.0000 0.3929
0.5000 0.0000 0.6071
0.5000 0.0000 0.8929
0.5000 0.5000 0.1212
0.5000 0.5000 0.4070
0.5000 0.5000 0.5930
0.5000 0.5000 0.8788
0.7050 0.7050 0.2927
0.7050 0.7050 0.7073
0.7217 0.2783 0.0000
0.7783 0.7783 0.5000
0.7950 0.2050 0.2073
0.7950 0.2050 0.7927
```

Peak list (10 most intense, 2θ = 10–80°, in order of rising 2θ)
23.8 deg, I = 10, hkl 1 1 1; 27.2 deg, I = 24, hkl 1 1 3; 27.5 deg, I = 12, hkl 0 0 6; 32.9 deg, I = 100, hkl 1 1 5; 33.3 deg, I = 66, hkl 2 0 0; 43.7 deg, I = 23, hkl 2 0 6; 47.8 deg, I = 35, hkl 2 2 0; 48.5 deg, I = 12, hkl 1 1 9; 58.6 deg, I = 11, hkl 2 0 10; 59.2 deg, I = 37, hkl 3 1 5